The following is a simulated powder diffraction line list of U4Co. It was derived from a crystal structure in the Materials Project, relaxed with GGA-PBE, using Cu Kα (weighted mean of Kα1 and Kα2).
Kinematic intensities with the Lorentz-polarization factor, no thermal factor.

Unit cell a=9.526 b=9.526 c=9.526 alpha=90.00 beta=90.00 gamma=90.00
Space group Fd-3m (No. 227, origin choice 2)
One atom of each set of equivalent atoms:
U 0.024 0.024 0.226 (multiplicity 32)
Co 0.125 0.125 0.625 (multiplicity 8)

Largest 10 diffraction maxima, low angle first, 2θ = 10–90°:
2θ (°)	d/Å	I (rel.)
16.12	5.500	21
32.56	2.750	100
37.78	2.381	38
41.31	2.185	28
49.74	1.833	43
54.49	1.684	26
64.94	1.436	18
70.61	1.334	20
76.87	1.240	14
82.97	1.164	14


The following is a simulated powder diffraction line list of BaZn2B2O6. It was derived from a crystal structure in the Materials Project, relaxed with GGA-PBE, using Cu Kα (weighted mean of Kα1 and Kα2).
Kinematic intensities with the Lorentz-polarization factor, no thermal factor.

```
data_BaZn2B2O6
_cell_length_a 4.986
_cell_length_b 9.483
_cell_length_c 12.283
_cell_angle_alpha 90.00
_cell_angle_beta 90.00
_cell_angle_gamma 90.00
_space_group_name_H-M_alt 'P 21 21 21'
_space_group_IT_number 19
_space_group_name_Hall 'P 2ac 2ab'
loop_
_atom_site_label
_atom_site_type_symbol
_atom_site_fract_x
_atom_site_fract_y
_atom_site_fract_z
_atom_site_occupancy
Ba1 Ba 0.030 0.101 0.271 1
Zn1 Zn 0.047 0.132 0.605 1
Zn2 Zn 0.054 0.342 0.031 1
B1 B 0.035 0.167 0.834 1
B2 B 0.058 0.410 0.506 1
O1 O 0.039 0.835 0.906 1
O2 O 0.086 0.937 0.087 1
O3 O 0.094 0.594 0.747 1
O4 O 0.118 0.749 0.593 1
O5 O 0.172 0.540 0.013 1
O6 O 0.189 0.832 0.342 1
```

Largest 10 diffraction maxima, low angle first, 2θ = 10–90°:
2θ (°)	d/Å	I (rel.)
19.21	4.620	21
21.39	4.153	28
25.93	3.436	27
28.20	3.164	32
28.81	3.099	60
29.79	2.999	100
34.36	2.610	23
36.03	2.493	28
37.96	2.370	23
46.77	1.942	25


The following is a simulated powder diffraction line list of BaTe2. It was derived from a crystal structure in the Materials Project, relaxed with GGA-PBE, using Cu Kα (weighted mean of Kα1 and Kα2).
Kinematic intensities with the Lorentz-polarization factor, no thermal factor.

```
data_BaTe2
_cell_length_a 7.237
_cell_length_b 7.237
_cell_length_c 9.147
_cell_angle_alpha 90.00
_cell_angle_beta 90.00
_cell_angle_gamma 90.00
_space_group_name_H-M_alt 'I 4/m c m'
_space_group_IT_number 140
_space_group_name_Hall '-I 4 2c'
loop_
_atom_site_label
_atom_site_type_symbol
_atom_site_fract_x
_atom_site_fract_y
_atom_site_fract_z
_atom_site_occupancy
Ba1 Ba 0.000 0.000 0.250 1
Te1 Te 0.138 0.362 0.000 1
```

Largest 10 diffraction maxima, low angle first, 2θ = 10–90°:
2θ (°)	d/Å	I (rel.)
19.41	4.574	13
26.13	3.410	100
29.27	3.051	94
31.53	2.838	33
39.38	2.288	65
40.65	2.219	38
54.55	1.682	31
56.92	1.618	35
57.68	1.598	19
57.90	1.593	13


The following is a simulated powder diffraction line list of PrMg16Al12. It was derived from a crystal structure in the Materials Project, relaxed with GGA-PBE, using Cu Kα (weighted mean of Kα1 and Kα2).
Kinematic intensities with the Lorentz-polarization factor, no thermal factor.

```
data_PrMg16Al12
_cell_length_a 15.2747
_cell_length_b 15.2747
_cell_length_c 8.9044
_cell_angle_alpha 90.00
_cell_angle_beta 90.00
_cell_angle_gamma 120.00
_space_group_name_H-M_alt 'R 3 m'
_space_group_IT_number 160
_space_group_name_Hall 'R 3 -2"'
loop_
_atom_site_label
_atom_site_type_symbol
_atom_site_fract_x
_atom_site_fract_y
_atom_site_fract_z
_atom_site_occupancy
Pr1 Pr 0.0000 0.0000 0.0000 1
Mg1 Mg 0.0000 0.0000 0.3824 1
Mg2 Mg 0.0064 0.3067 0.6819 1
Mg3 Mg 0.0664 0.5332 0.5946 1
Mg4 Mg 0.2198 0.4397 0.1622 1
Mg5 Mg 0.2214 0.1107 0.8730 1
Al1 Al 0.0605 0.1209 0.6846 1
Al2 Al 0.0915 0.5458 0.1118 1
Al3 Al 0.1525 0.4845 0.8617 1
```

Largest 10 diffraction maxima, low angle first, 2θ = 10–90°:
2θ (°)	d/Å	I (rel.)
11.59	7.637	62
11.98	7.387	33
20.37	4.360	27
35.25	2.546	57
35.39	2.536	31
35.81	2.508	100
36.49	2.462	100
39.25	2.296	49
41.42	2.180	25
64.08	1.453	27


The following is a simulated powder diffraction line list of La3Ga2Ru2. It was derived from a crystal structure in the Materials Project, relaxed with GGA-PBE, using Cu Kα (weighted mean of Kα1 and Kα2).
Kinematic intensities with the Lorentz-polarization factor, no thermal factor.

```
data_La3Ga2Ru2
_cell_length_a 5.817
_cell_length_b 13.881
_cell_length_c 12.417
_cell_angle_alpha 90.00
_cell_angle_beta 97.45
_cell_angle_gamma 90.00
_space_group_name_H-M_alt 'P 1 21/m 1'
_space_group_IT_number 11
_space_group_name_Hall '-P 2yb'
loop_
_atom_site_label
_atom_site_type_symbol
_atom_site_fract_x
_atom_site_fract_y
_atom_site_fract_z
_atom_site_occupancy
La1 La 0.025 0.250 0.004 1
La2 La 0.170 0.750 0.662 1
La3 La 0.174 0.250 0.672 1
La4 La 0.270 0.593 0.234 1
La5 La 0.320 0.093 0.437 1
La6 La 0.458 0.595 0.896 1
Ga1 Ga 0.000 0.000 0.000 1
Ga2 Ga 0.170 0.002 0.669 1
Ga3 Ga 0.287 0.250 0.240 1
Ga4 Ga 0.341 0.750 0.431 1
Ga5 Ga 0.478 0.250 0.899 1
Ru1 Ru 0.058 0.092 0.185 1
Ru2 Ru 0.141 0.591 0.480 1
Ru3 Ru 0.242 0.088 0.864 1
```

Largest 10 diffraction maxima, low angle first, 2θ = 10–90°:
2θ (°)	d/Å	I (rel.)
29.08	3.071	52
32.54	2.752	90
33.83	2.650	94
34.39	2.608	47
34.77	2.580	61
37.82	2.379	66
38.04	2.365	100
38.28	2.351	91
38.93	2.313	78
44.95	2.017	40


The following is a simulated powder diffraction line list of CeCd20Ni2. It was derived from a crystal structure in the Materials Project, relaxed with GGA-PBE, using Cu Kα (weighted mean of Kα1 and Kα2).
Kinematic intensities with the Lorentz-polarization factor, no thermal factor.

Unit cell a=15.821 b=15.821 c=15.821 alpha=90.00 beta=90.00 gamma=90.00
Space group Fd-3m (No. 227, origin choice 2)
One atom of each set of equivalent atoms:
Ce 0.125 0.125 0.125 (multiplicity 8)
Cd 0.000 0.000 0.000 (multiplicity 16)
Cd 0.011 0.375 0.875 (multiplicity 48)
Cd 0.059 0.059 0.325 (multiplicity 96)
Ni 0.000 0.000 0.500 (multiplicity 16)

Largest 10 diffraction maxima, low angle first, 2θ = 10–90°:
2θ (°)	d/Å	I (rel.)
33.51	2.674	100
35.90	2.502	34
37.27	2.413	64
37.71	2.385	64
39.46	2.284	21
40.73	2.215	27
48.84	1.865	23
58.00	1.590	18
66.91	1.398	42
70.13	1.342	18


The following is a simulated powder diffraction line list of HfBe13. It was derived from a crystal structure in the Materials Project, relaxed with GGA-PBE, using Cu Kα (weighted mean of Kα1 and Kα2).
Kinematic intensities with the Lorentz-polarization factor, no thermal factor.

```
data_HfBe13
_cell_length_a 9.956
_cell_length_b 9.956
_cell_length_c 9.956
_cell_angle_alpha 90.00
_cell_angle_beta 90.00
_cell_angle_gamma 90.00
_space_group_name_H-M_alt 'F m -3 c'
_space_group_IT_number 226
_space_group_name_Hall '-F 4a 2 3'
loop_
_atom_site_label
_atom_site_type_symbol
_atom_site_fract_x
_atom_site_fract_y
_atom_site_fract_z
_atom_site_occupancy
Hf1 Hf 0.250 0.250 0.250 1
Be1 Be 0.000 0.000 0.000 1
Be2 Be 0.000 0.116 0.178 1
```

Largest 10 diffraction maxima, low angle first, 2θ = 10–90°:
2θ (°)	d/Å	I (rel.)
17.82	4.978	95
25.30	3.520	100
31.12	2.874	43
36.08	2.489	22
40.52	2.226	70
44.58	2.032	60
55.37	1.659	23
58.64	1.574	25
70.82	1.330	27
79.36	1.207	20


The following is a simulated powder diffraction line list of Te3MoWS. It was derived from a crystal structure in the Materials Project, relaxed with GGA-PBE, using Cu Kα (weighted mean of Kα1 and Kα2).
Kinematic intensities with the Lorentz-polarization factor, no thermal factor.

```
data_Te3MoWS
_cell_length_a 3.4591
_cell_length_b 3.4591
_cell_length_c 39.3243
_cell_angle_alpha 90.00
_cell_angle_beta 90.00
_cell_angle_gamma 120.00
_space_group_name_H-M_alt 'P 3 m 1'
_space_group_IT_number 156
_space_group_name_Hall 'P 3 -2"'
loop_
_atom_site_label
_atom_site_type_symbol
_atom_site_fract_x
_atom_site_fract_y
_atom_site_fract_z
_atom_site_occupancy
Te1 Te 0.0000 0.0000 0.0000 1
Te2 Te 0.0000 0.0000 0.0940 1
Te3 Te 0.0000 0.0000 0.3752 1
Te4 Te 0.0000 0.0000 0.4697 1
Te5 Te 0.6667 0.3333 0.5635 1
Te6 Te 0.6667 0.3333 0.6580 1
Mo1 Mo 0.0000 0.0000 0.2348 1
Mo2 Mo 0.6667 0.3333 0.0469 1
W1 W 0.0000 0.0000 0.6107 1
W2 W 0.6667 0.3333 0.4225 1
S1 S 0.6667 0.3333 0.1970 1
S2 S 0.6667 0.3333 0.2726 1
```

Largest 10 diffraction maxima, low angle first, 2θ = 10–90°:
2θ (°)	d/Å	I (rel.)
11.25	7.865	95
13.51	6.554	15
29.84	2.994	52
35.08	2.558	100
37.75	2.383	18
42.47	2.129	56
44.20	2.049	17
52.95	1.729	36
65.10	1.433	16
74.71	1.271	18


The following is a simulated powder diffraction line list of Cs2EuCl5. It was derived from a crystal structure in the Materials Project, relaxed with GGA-PBE, using Cu Kα (weighted mean of Kα1 and Kα2).
Kinematic intensities with the Lorentz-polarization factor, no thermal factor.

```
data_Cs2EuCl5
_cell_length_a 9.985
_cell_length_b 7.665
_cell_length_c 15.665
_cell_angle_alpha 90.00
_cell_angle_beta 90.00
_cell_angle_gamma 90.00
_space_group_name_H-M_alt 'P n m a'
_space_group_IT_number 62
_space_group_name_Hall '-P 2ac 2n'
loop_
_atom_site_label
_atom_site_type_symbol
_atom_site_fract_x
_atom_site_fract_y
_atom_site_fract_z
_atom_site_occupancy
Cs1 Cs 0.024 0.250 0.213 1
Cs2 Cs 0.158 0.750 0.419 1
Eu1 Eu 0.175 0.750 0.064 1
Cl1 Cl 0.000 0.000 0.000 1
Cl2 Cl 0.023 0.750 0.206 1
Cl3 Cl 0.165 0.508 0.619 1
Cl4 Cl 0.212 0.250 0.407 1
```

Largest 10 diffraction maxima, low angle first, 2θ = 10–90°:
2θ (°)	d/Å	I (rel.)
20.58	4.315	100
21.10	4.210	45
21.24	4.183	39
23.21	3.832	57
24.12	3.690	41
29.88	2.990	33
29.94	2.984	37
31.57	2.834	57
34.13	2.627	41
46.79	1.942	34